(1)
Calculated XRD peak list
Compound: EuAgRh
Radiation: Cu Kα (weighted mean of Kα1 and Kα2)
Structure: a crystal structure in Alexandria, relaxed with PBE

Atomic structure:
```
data_EuAgRh
_chemical_formula_sum 'Eu2 Ag2 Rh2'
_symmetry_space_group_name_H-M 'I 4 m m'
_symmetry_Int_Tables_number 107
_symmetry_space_group_name_Hall 'I 4 -2'
_cell_length_a 3.5492
_cell_length_b 3.5492
_cell_length_c 10.0787
_cell_angle_alpha 90.00
_cell_angle_beta 90.00
_cell_angle_gamma 90.00
loop_
_atom_site_label
_atom_site_fract_x
_atom_site_fract_y
_atom_site_fract_z
Eu1 0.0000 0.0000 0.0000
Ag1 0.0000 0.0000 0.6982
Rh1 0.0000 0.0000 0.3299
```

Peak list (12 most intense, 2θ = 15–90°, by angle)
- (1 0 1), 2θ 26.6, I = 8
- (1 1 0), 2θ 35.8, I = 59
- (1 0 3), 2θ 36.8, I = 100
- (1 1 4), 2θ 51.4, I = 6
- (2 0 0), 2θ 51.5, I = 20
- (0 0 6), 2θ 54.6, I = 6
- (2 1 3), 2θ 65.0, I = 37
- (1 1 6), 2θ 67.0, I = 13
- (2 2 0), 2θ 75.8, I = 6
- (2 0 6), 2θ 78.4, I = 8
- (3 1 0), 2θ 86.8, I = 11
- (3 0 3), 2θ 87.4, I = 8

***

(2)
Calculated XRD peak list
Compound: EuTlAgSb
Radiation: Cu Kα (weighted mean of Kα1 and Kα2)
Structure: a crystal structure in Alexandria, relaxed with PBE

Atomic structure:
```
data_EuTlAgSb
_chemical_formula_sum 'Eu4 Tl4 Ag4 Sb4'
_symmetry_space_group_name_H-M 'F -4 3 m'
_symmetry_Int_Tables_number 216
_symmetry_space_group_name_Hall 'F -4 2 3'
_cell_length_a 7.5489
_cell_length_b 7.5489
_cell_length_c 7.5489
_cell_angle_alpha 90.00
_cell_angle_beta 90.00
_cell_angle_gamma 90.00
loop_
_atom_site_label
_atom_site_fract_x
_atom_site_fract_y
_atom_site_fract_z
Eu1 0.0000 0.0000 0.0000
Tl1 0.2500 0.2500 0.2500
Ag1 0.0000 0.0000 0.5000
Sb1 0.2500 0.2500 0.7500
```

Peak list (12 most intense, 2θ = 15–90°, by angle)
- (1 1 1), 2θ 20.4, I = 5
- (2 0 0), 2θ 23.6, I = 1
- (2 2 0), 2θ 33.6, I = 100
- (3 1 1), 2θ 39.6, I = 3
- (4 0 0), 2θ 48.2, I = 18
- (3 3 1), 2θ 52.9, I = 1
- (4 2 0), 2θ 54.3, I = 1
- (4 2 2), 2θ 60.0, I = 37
- (5 1 1), 2θ 64.1, I = 1
- (4 4 0), 2θ 70.6, I = 11
- (5 3 1), 2θ 74.3, I = 1
- (6 2 0), 2θ 80.5, I = 16

***

(3)
Calculated XRD peak list
Compound: SmEuTlAg
Radiation: Cu Kα (weighted mean of Kα1 and Kα2)
Structure: a crystal structure in Alexandria, relaxed with PBE

Atomic structure:
```
data_SmEuTlAg
_chemical_formula_sum 'Sm4 Eu4 Tl4 Ag4'
_symmetry_space_group_name_H-M 'F -4 3 m'
_symmetry_Int_Tables_number 216
_symmetry_space_group_name_Hall 'F -4 2 3'
_cell_length_a 7.6767
_cell_length_b 7.6767
_cell_length_c 7.6767
_cell_angle_alpha 90.00
_cell_angle_beta 90.00
_cell_angle_gamma 90.00
loop_
_atom_site_label
_atom_site_fract_x
_atom_site_fract_y
_atom_site_fract_z
Sm1 0.0000 0.0000 0.0000
Eu1 0.0000 0.0000 0.5000
Tl1 0.2500 0.2500 0.7500
Ag1 0.2500 0.2500 0.2500
```

Peak list (11 most intense, 2θ = 15–90°, by angle)
- (1 1 1), 2θ 20.0, I = 4
- (2 2 0), 2θ 33.0, I = 100
- (3 1 1), 2θ 38.9, I = 3
- (4 0 0), 2θ 47.4, I = 18
- (3 3 1), 2θ 51.9, I = 1
- (4 2 2), 2θ 58.9, I = 38
- (5 1 1), 2θ 62.9, I = 1
- (4 4 0), 2θ 69.2, I = 12
- (5 3 1), 2θ 72.9, I = 1
- (6 2 0), 2θ 78.9, I = 16
- (4 4 4), 2θ 88.2, I = 4

***

(4)
Calculated XRD peak list
Compound: EuZnAgSn
Radiation: Cu Kα (weighted mean of Kα1 and Kα2)
Structure: a crystal structure in Alexandria, relaxed with PBE

Atomic structure:
```
data_EuZnAgSn
_chemical_formula_sum 'Eu4 Zn4 Ag4 Sn4'
_symmetry_space_group_name_H-M 'F -4 3 m'
_symmetry_Int_Tables_number 216
_symmetry_space_group_name_Hall 'F -4 2 3'
_cell_length_a 7.1316
_cell_length_b 7.1316
_cell_length_c 7.1316
_cell_angle_alpha 90.00
_cell_angle_beta 90.00
_cell_angle_gamma 90.00
loop_
_atom_site_label
_atom_site_fract_x
_atom_site_fract_y
_atom_site_fract_z
Eu1 0.0000 0.0000 0.0000
Zn1 0.2500 0.2500 0.2500
Ag1 0.2500 0.2500 0.7500
Sn1 0.0000 0.0000 0.5000
```

Peak list (12 most intense, 2θ = 15–90°, by angle)
- (1 1 1), 2θ 21.6, I = 3
- (2 0 0), 2θ 25.0, I = 5
- (2 2 0), 2θ 35.6, I = 100
- (3 1 1), 2θ 42.0, I = 2
- (2 2 2), 2θ 44.0, I = 2
- (4 0 0), 2θ 51.2, I = 17
- (3 3 1), 2θ 56.2, I = 1
- (4 2 0), 2θ 57.8, I = 2
- (4 2 2), 2θ 64.0, I = 36
- (4 4 0), 2θ 75.4, I = 11
- (6 0 0), 2θ 80.9, I = 1
- (6 2 0), 2θ 86.3, I = 16

***

(5)
Calculated XRD peak list
Compound: Ag2F5
Radiation: Cu Kα (weighted mean of Kα1 and Kα2)
Structure: a crystal structure in Alexandria, relaxed with PBE

Atomic structure:
```
data_Ag2F5
_chemical_formula_sum 'Ag4 F10'
_symmetry_space_group_name_H-M 'P -1'
_symmetry_Int_Tables_number 2
_symmetry_space_group_name_Hall '-P 1'
_cell_length_a 5.4608
_cell_length_b 6.4371
_cell_length_c 7.5509
_cell_angle_alpha 114.87
_cell_angle_beta 104.06
_cell_angle_gamma 93.99
loop_
_atom_site_label
_atom_site_fract_x
_atom_site_fract_y
_atom_site_fract_z
Ag1 0.0000 0.0000 0.0000
Ag2 0.0000 0.5000 0.5000
Ag3 0.5000 0.0000 0.5000
Ag4 0.5000 0.5000 0.0000
F1 0.0347 0.1486 0.3035
F2 0.2159 0.2905 0.0443
F3 0.2239 0.4728 0.7449
F4 0.3485 0.7045 0.4867
F5 0.4068 0.8464 0.1929
```

Peak list (12 most intense, 2θ = 15–90°, by angle)
- (1 1 -1), 2θ 22.2, I = 100
- (1 -1 1), 2θ 23.8, I = 89
- (-1 1 1), 2θ 25.9, I = 69
- (0 0 2), 2θ 27.3, I = 46
- (0 2 -2), 2θ 30.8, I = 17
- (0 2 0), 2θ 31.2, I = 28
- (2 0 0), 2θ 34.5, I = 24
- (2 0 -2), 2θ 37.2, I = 17
- (2 -2 0), 2θ 42.2, I = 16
- (1 -1 3), 2θ 45.0, I = 22
- (2 2 -2), 2θ 45.2, I = 20
- (1 3 -1), 2θ 48.5, I = 30

***

(6)
Calculated XRD peak list
Compound: Ag4F3
Radiation: Cu Kα (weighted mean of Kα1 and Kα2)
Structure: a crystal structure in Alexandria, relaxed with PBE

Atomic structure:
```
data_Ag4F3
_chemical_formula_sum 'Ag8 F6'
_symmetry_space_group_name_H-M 'A m m 2'
_symmetry_Int_Tables_number 38
_symmetry_space_group_name_Hall 'A 2 -2'
_cell_length_a 3.3732
_cell_length_b 3.1695
_cell_length_c 20.4503
_cell_angle_alpha 90.00
_cell_angle_beta 90.00
_cell_angle_gamma 90.00
loop_
_atom_site_label
_atom_site_fract_x
_atom_site_fract_y
_atom_site_fract_z
Ag1 0.0000 0.0000 0.0000
Ag2 0.0000 0.0000 0.1688
Ag3 0.5000 0.0000 0.3305
Ag4 0.5000 0.0000 0.5848
F1 0.0000 0.0000 0.8431
F2 0.5000 0.0000 0.4554
F3 0.5000 0.0000 0.7182
```

Peak list (12 most intense, 2θ = 15–90°, by angle)
- (0 0 6), 2θ 26.1, I = 32
- (1 0 4), 2θ 31.8, I = 57
- (0 1 5), 2θ 35.8, I = 42
- (1 0 6), 2θ 37.5, I = 29
- (1 1 1), 2θ 39.3, I = 100
- (1 1 3), 2θ 41.3, I = 16
- (0 1 7), 2θ 42.1, I = 45
- (1 0 8), 2θ 44.5, I = 32
- (1 1 5), 2θ 45.1, I = 16
- (2 0 0), 2θ 54.4, I = 18
- (1 1 11), 2θ 64.3, I = 18
- (2 1 7), 2θ 71.1, I = 17

***

(7)
Calculated XRD peak list
Compound: AgF2
Radiation: Cu Kα (weighted mean of Kα1 and Kα2)
Structure: a crystal structure in Alexandria, relaxed with PBE

Atomic structure:
```
data_AgF2
_chemical_formula_sum 'Ag4 F8'
_symmetry_space_group_name_H-M 'P b c a'
_symmetry_Int_Tables_number 61
_symmetry_space_group_name_Hall '-P 2ac 2ab'
_cell_length_a 5.3111
_cell_length_b 5.7175
_cell_length_c 5.9449
_cell_angle_alpha 90.00
_cell_angle_beta 90.00
_cell_angle_gamma 90.00
loop_
_atom_site_label
_atom_site_fract_x
_atom_site_fract_y
_atom_site_fract_z
Ag1 0.0000 0.0000 0.0000
F1 0.1898 0.1983 0.3797
```

Peak list (12 most intense, 2θ = 15–90°, by angle)
- (1 1 1), 2θ 27.4, I = 100
- (0 0 2), 2θ 30.1, I = 22
- (0 2 0), 2θ 31.3, I = 10
- (2 0 0), 2θ 33.8, I = 8
- (0 2 2), 2θ 43.9, I = 14
- (2 0 2), 2θ 45.8, I = 12
- (2 2 0), 2θ 46.7, I = 17
- (1 1 3), 2θ 51.8, I = 18
- (1 3 1), 2θ 53.3, I = 18
- (3 1 1), 2θ 56.6, I = 28
- (1 3 3), 2θ 70.9, I = 6
- (3 1 3), 2θ 73.6, I = 5

***

(8)
Calculated XRD peak list
Compound: AgF
Radiation: Cu Kα (weighted mean of Kα1 and Kα2)
Structure: a crystal structure in Alexandria, relaxed with PBE

Atomic structure:
```
data_AgF
_chemical_formula_sum 'Ag6 F6'
_symmetry_space_group_name_H-M 'P 63/m c m'
_symmetry_Int_Tables_number 193
_symmetry_space_group_name_Hall '-P 6c 2'
_cell_length_a 6.6868
_cell_length_b 6.6868
_cell_length_c 5.2527
_cell_angle_alpha 90.00
_cell_angle_beta 90.00
_cell_angle_gamma 120.00
loop_
_atom_site_label
_atom_site_fract_x
_atom_site_fract_y
_atom_site_fract_z
Ag1 0.0000 0.2567 0.2500
F1 0.0000 0.3893 0.7500
```

Peak list (12 most intense, 2θ = 15–90°, by angle)
- (1 0 0), 2θ 15.3, I = 59
- (1 1 0), 2θ 26.7, I = 42
- (1 1 1), 2θ 31.7, I = 85
- (0 0 2), 2θ 34.1, I = 52
- (1 0 2), 2θ 37.6, I = 13
- (1 1 2), 2θ 43.8, I = 21
- (2 1 1), 2θ 44.9, I = 100
- (1 1 3), 2θ 59.6, I = 14
- (4 0 0), 2θ 64.3, I = 15
- (2 1 3), 2θ 68.6, I = 26
- (3 2 1), 2θ 73.5, I = 21
- (4 0 2), 2θ 74.9, I = 19

***

(9)
Calculated XRD peak list
Compound: AgF2
Radiation: Cu Kα (weighted mean of Kα1 and Kα2)
Structure: a crystal structure in Alexandria, relaxed with PBE

Atomic structure:
```
data_AgF2
_chemical_formula_sum 'Ag4 F8'
_symmetry_space_group_name_H-M 'P b c n'
_symmetry_Int_Tables_number 60
_symmetry_space_group_name_Hall '-P 2n 2ab'
_cell_length_a 5.0616
_cell_length_b 6.0269
_cell_length_c 6.1997
_cell_angle_alpha 90.00
_cell_angle_beta 90.00
_cell_angle_gamma 90.00
loop_
_atom_site_label
_atom_site_fract_x
_atom_site_fract_y
_atom_site_fract_z
Ag1 0.0000 0.1607 0.2500
F1 0.2426 0.0959 0.6210
```

Peak list (12 most intense, 2θ = 15–90°, by angle)
- (1 1 0), 2θ 22.9, I = 32
- (1 1 1), 2θ 27.1, I = 100
- (0 0 2), 2θ 28.8, I = 29
- (0 2 1), 2θ 33.1, I = 19
- (1 1 2), 2θ 37.1, I = 17
- (2 0 2), 2θ 46.3, I = 16
- (1 3 0), 2θ 48.8, I = 13
- (2 2 1), 2θ 49.3, I = 32
- (1 1 3), 2θ 50.0, I = 18
- (0 2 3), 2θ 53.8, I = 13
- (1 3 2), 2θ 57.6, I = 16
- (3 3 2), 2θ 80.5, I = 12